Record 1
Theoretical PXRD pattern of PuSi3Ru3 for Cu Kα X-rays, from the PBE geometry in Alexandria.
Kinematic intensities with the Lorentz-polarization factor, no thermal factor.

Largest 10 diffraction maxima, in order of rising 2θ, 2θ = 10–90°:
| 2θ/deg | I/Imax |
| --- | --- |
| 19.35 | 13 |
| 27.50 | 43 |
| 30.82 | 21 |
| 33.84 | 100 |
| 52.80 | 57 |
| 56.76 | 17 |
| 64.20 | 16 |
| 67.74 | 14 |
| 81.21 | 17 |
| 84.47 | 11 |

Cell and atoms:
Cell: 6.4879 6.4879 6.4879 Å, 90.00 90.00 90.00°
Element x y z (fractional)
Pu1 0.0000 0.0000 0.0000
Pu2 0.5000 0.5000 0.5000
Si1 0.0000 0.2500 0.5000
Si2 0.0000 0.7500 0.5000
Si3 0.2500 0.5000 0.0000
Si4 0.5000 0.0000 0.2500
Si5 0.5000 0.0000 0.7500
Si6 0.7500 0.5000 0.0000
Ru1 0.0000 0.5000 0.2500
Ru2 0.0000 0.5000 0.7500
Ru3 0.2500 0.0000 0.5000
Ru4 0.5000 0.2500 0.0000
Ru5 0.5000 0.7500 0.0000
Ru6 0.7500 0.0000 0.5000


Record 2
Theoretical PXRD pattern of Ce8Tl3Ge4 for Cu Kα X-rays, from the PBE geometry in Alexandria.
Kinematic intensities with the Lorentz-polarization factor, no thermal factor.

Largest 10 diffraction maxima, in order of rising 2θ, 2θ = 10–90°:
| 2θ/deg | I/Imax |
| --- | --- |
| 14.29 | 15 |
| 28.85 | 100 |
| 28.91 | 50 |
| 40.18 | 19 |
| 41.30 | 75 |
| 42.30 | 19 |
| 50.25 | 20 |
| 52.05 | 20 |
| 59.88 | 12 |
| 67.82 | 25 |

Cell and atoms:
Cell: 8.7430 8.7430 8.5465 Å, 119.15 119.15 89.90°
Element x y z (fractional)
Ce1 0.2267 0.2267 0.9788
Ce2 0.2319 0.2319 0.4786
Ce3 0.2386 0.7614 0.0000
Ce4 0.2427 0.7573 0.5000
Ce5 0.7573 0.2427 0.5000
Ce6 0.7614 0.2386 0.0000
Ce7 0.7681 0.7681 0.5214
Ce8 0.7733 0.7733 0.0212
Tl1 0.0000 0.5000 0.0000
Tl2 0.5000 0.0000 0.0000
Tl3 0.5000 0.5000 0.0000
Ge1 0.0000 0.0000 0.0000
Ge2 0.0000 0.0000 0.5000
Ge3 0.0000 0.5000 0.5000
Ge4 0.5000 0.0000 0.5000


Record 3
Theoretical PXRD pattern of Y4TmS2 for Cu Kα X-rays, from the PBE geometry in Alexandria.
Kinematic intensities with the Lorentz-polarization factor, no thermal factor.

Largest 10 diffraction maxima, in order of rising 2θ, 2θ = 10–90°:
| 2θ/deg | I/Imax |
| --- | --- |
| 24.42 | 41 |
| 28.17 | 67 |
| 29.26 | 100 |
| 30.38 | 27 |
| 31.54 | 75 |
| 34.99 | 74 |
| 40.29 | 22 |
| 42.80 | 42 |
| 58.06 | 29 |
| 59.41 | 23 |

Cell and atoms:
Cell: 9.6693 9.6693 9.6693 Å, 157.81 145.89 41.07°
Element x y z (fractional)
Y1 0.0965 0.0965 0.0000
Y2 0.3150 0.3150 0.0000
Y3 0.6850 0.6850 0.0000
Y4 0.9035 0.9035 0.0000
Tm1 0.5000 0.0000 0.5000
S1 0.2045 0.7045 0.5000
S2 0.7955 0.2955 0.5000


Record 4
Theoretical PXRD pattern of Na3Pd for Cu Kα X-rays, from the PBE geometry in Alexandria.
Kinematic intensities with the Lorentz-polarization factor, no thermal factor.

Largest 10 diffraction maxima, in order of rising 2θ, 2θ = 10–90°:
| 2θ/deg | I/Imax |
| --- | --- |
| 21.32 | 51 |
| 24.66 | 27 |
| 35.16 | 100 |
| 41.48 | 27 |
| 50.57 | 17 |
| 55.48 | 11 |
| 57.05 | 11 |
| 63.08 | 34 |
| 74.32 | 10 |
| 84.96 | 14 |

Cell and atoms:
Cell: 5.1050 5.1050 5.1050 Å, 60.00 60.00 60.00°
Element x y z (fractional)
Na1 0.0000 0.0000 0.0000
Na2 0.2500 0.2500 0.2500
Na3 0.7500 0.7500 0.7500
Pd1 0.5000 0.5000 0.5000


Record 5
Theoretical PXRD pattern of La2Pm2NdY4 for Cu Kα X-rays, from the PBE geometry in Alexandria.
Kinematic intensities with the Lorentz-polarization factor, no thermal factor.

Largest 10 diffraction maxima, in order of rising 2θ, 2θ = 10–90°:
| 2θ/deg | I/Imax |
| --- | --- |
| 28.29 | 45 |
| 30.56 | 49 |
| 31.26 | 100 |
| 32.92 | 92 |
| 39.42 | 16 |
| 49.73 | 25 |
| 53.67 | 20 |
| 56.90 | 20 |
| 59.46 | 29 |
| 84.77 | 16 |

Cell and atoms:
Cell: 9.6951 9.6951 9.7428 Å, 115.25 115.25 21.85°
Element x y z (fractional)
La1 0.1660 0.1660 0.9997
La2 0.8340 0.8340 0.0003
Pm1 0.3523 0.3523 0.3362
Pm2 0.6477 0.6477 0.6638
Nd1 0.5000 0.5000 0.0000
Y1 0.0203 0.0203 0.3356
Y2 0.3145 0.3145 0.6628
Y3 0.6855 0.6855 0.3372
Y4 0.9797 0.9797 0.6644


Record 6
Theoretical PXRD pattern of AcLaPm5Ho2 for Cu Kα X-rays, from the PBE geometry in Alexandria.
Kinematic intensities with the Lorentz-polarization factor, no thermal factor.

Largest 10 diffraction maxima, in order of rising 2θ, 2θ = 10–90°:
| 2θ/deg | I/Imax |
| --- | --- |
| 26.81 | 28 |
| 28.93 | 28 |
| 29.04 | 27 |
| 30.72 | 100 |
| 31.66 | 78 |
| 31.87 | 97 |
| 32.42 | 65 |
| 43.45 | 37 |
| 55.79 | 19 |
| 56.51 | 19 |

Cell and atoms:
Cell: 12.3582 12.3582 9.5785 Å, 90.00 90.00 153.55°
Element x y z (fractional)
Ac1 0.1028 0.8972 0.5000
Ac2 0.8972 0.1028 0.0000
La1 0.2666 0.7334 0.1104
La2 0.7334 0.2666 0.6104
Pm1 0.0251 0.9749 0.8267
Pm2 0.1026 0.8974 0.1085
Pm3 0.1876 0.8124 0.8061
Pm4 0.2412 0.7588 0.4305
Pm5 0.4941 0.5059 0.6060
Pm6 0.5059 0.4941 0.1060
Pm7 0.7588 0.2412 0.9305
Pm8 0.8124 0.1876 0.3061
Pm9 0.8974 0.1026 0.6085
Pm10 0.9749 0.0251 0.3267
Ho1 0.3294 0.6706 0.7437
Ho2 0.3881 0.6119 0.3689
Ho3 0.6119 0.3881 0.8689
Ho4 0.6706 0.3294 0.2437


Record 7
Theoretical PXRD pattern of K4TmTe3O12 for Cu Kα X-rays, from the PBE geometry in Alexandria.
Kinematic intensities with the Lorentz-polarization factor, no thermal factor.

Largest 10 diffraction maxima, in order of rising 2θ, 2θ = 10–90°:
| 2θ/deg | I/Imax |
| --- | --- |
| 21.63 | 59 |
| 30.78 | 100 |
| 44.08 | 35 |
| 49.62 | 25 |
| 54.73 | 39 |
| 64.11 | 21 |
| 68.52 | 12 |
| 72.79 | 17 |
| 81.08 | 7 |
| 89.19 | 20 |

Cell and atoms:
Cell: 7.1161 7.1161 7.1161 Å, 109.47 109.47 109.47°
Element x y z (fractional)
K1 0.0000 0.0000 0.5000
K2 0.0000 0.5000 0.0000
K3 0.5000 0.0000 0.0000
K4 0.5000 0.5000 0.5000
Tm1 0.0000 0.0000 0.0000
Te1 0.0000 0.5000 0.5000
Te2 0.5000 0.0000 0.5000
Te3 0.5000 0.5000 0.0000
O1 0.0000 0.2670 0.2670
O2 0.0000 0.7330 0.7330
O3 0.2500 0.5000 0.7500
O4 0.2500 0.7500 0.5000
O5 0.2670 0.0000 0.2670
O6 0.2670 0.2670 0.0000
O7 0.5000 0.2500 0.7500
O8 0.5000 0.7500 0.2500
O9 0.7330 0.0000 0.7330
O10 0.7330 0.7330 0.0000
O11 0.7500 0.2500 0.5000
O12 0.7500 0.5000 0.2500


Record 8
Theoretical PXRD pattern of NaDyPd6O8 for Cu Kα X-rays, from the PBE geometry in Alexandria.
Kinematic intensities with the Lorentz-polarization factor, no thermal factor.

Largest 10 diffraction maxima, in order of rising 2θ, 2θ = 10–90°:
| 2θ/deg | I/Imax |
| --- | --- |
| 15.20 | 18 |
| 30.67 | 12 |
| 34.39 | 100 |
| 37.80 | 61 |
| 54.52 | 14 |
| 56.95 | 24 |
| 59.31 | 32 |
| 63.86 | 17 |
| 74.59 | 20 |
| 76.66 | 7 |

Cell and atoms:
Cell: 5.8303 5.8303 5.8303 Å, 90.00 90.00 90.00°
Element x y z (fractional)
Na1 0.0000 0.0000 0.0000
Dy1 0.5000 0.5000 0.5000
Pd1 0.0000 0.2497 0.5000
Pd2 0.0000 0.7503 0.5000
Pd3 0.2497 0.5000 0.0000
Pd4 0.5000 0.0000 0.2497
Pd5 0.5000 0.0000 0.7503
Pd6 0.7503 0.5000 0.0000
O1 0.2598 0.2598 0.2598
O2 0.2598 0.2598 0.7402
O3 0.2598 0.7402 0.2598
O4 0.2598 0.7402 0.7402
O5 0.7402 0.2598 0.2598
O6 0.7402 0.2598 0.7402
O7 0.7402 0.7402 0.2598
O8 0.7402 0.7402 0.7402


Record 9
Theoretical PXRD pattern of La2ZnN for Cu Kα X-rays, from the PBE geometry in Alexandria.
Kinematic intensities with the Lorentz-polarization factor, no thermal factor.

Largest 10 diffraction maxima, in order of rising 2θ, 2θ = 10–90°:
| 2θ/deg | I/Imax |
| --- | --- |
| 23.61 | 29 |
| 27.20 | 100 |
| 28.44 | 19 |
| 29.31 | 30 |
| 30.69 | 89 |
| 31.25 | 58 |
| 35.03 | 55 |
| 36.82 | 21 |
| 39.54 | 22 |
| 58.63 | 19 |

Cell and atoms:
Cell: 6.8965 6.8965 6.8965 Å, 136.40 82.70 113.76°
Element x y z (fractional)
La1 0.1084 0.2500 0.3584
La2 0.1683 0.6023 0.0659
La3 0.5364 0.1023 0.9341
La4 0.8916 0.7500 0.6416
Zn1 0.5121 0.3349 0.6772
Zn2 0.6577 0.8349 0.3228
N1 0.1712 0.8037 0.8675
N2 0.9362 0.3037 0.1325


Record 10
Theoretical PXRD pattern of Rb2SbSe3 for Cu Kα X-rays, from the PBE geometry in Alexandria.
Kinematic intensities with the Lorentz-polarization factor, no thermal factor.

Largest 10 diffraction maxima, in order of rising 2θ, 2θ = 10–90°:
| 2θ/deg | I/Imax |
| --- | --- |
| 11.77 | 71 |
| 23.11 | 40 |
| 24.22 | 100 |
| 26.13 | 64 |
| 28.83 | 37 |
| 30.37 | 53 |
| 31.46 | 63 |
| 34.24 | 26 |
| 34.48 | 36 |
| 39.98 | 34 |

Cell and atoms:
Cell: 8.1658 8.1658 7.3688 Å, 94.75 94.75 67.27°
Element x y z (fractional)
Rb1 0.0063 0.6833 0.8006
Rb2 0.3167 0.9937 0.6994
Rb3 0.6833 0.0063 0.3006
Rb4 0.9937 0.3167 0.1994
Sb1 0.4243 0.5757 0.2500
Sb2 0.5757 0.4243 0.7500
Se1 0.1433 0.8567 0.2500
Se2 0.3368 0.3762 0.4878
Se3 0.3762 0.3368 0.9878
Se4 0.6238 0.6632 0.0122
Se5 0.6632 0.6238 0.5122
Se6 0.8567 0.1433 0.7500


Record 11
Theoretical PXRD pattern of La2PrNd7Tl2 for Cu Kα X-rays, from the PBE geometry in Alexandria.
Kinematic intensities with the Lorentz-polarization factor, no thermal factor.

Largest 10 diffraction maxima, in order of rising 2θ, 2θ = 10–90°:
| 2θ/deg | I/Imax |
| --- | --- |
| 29.18 | 100 |
| 30.71 | 66 |
| 31.72 | 20 |
| 32.96 | 19 |
| 34.64 | 55 |
| 34.80 | 32 |
| 35.03 | 21 |
| 49.95 | 33 |
| 59.86 | 17 |
| 60.60 | 25 |

Cell and atoms:
Cell: 6.2472 6.2472 11.4100 Å, 90.00 90.00 111.26°
Element x y z (fractional)
La1 0.0000 0.0000 0.1488
La2 0.0000 0.0000 0.8512
Pr1 0.5000 0.5000 0.5000
Nd1 0.0000 0.0000 0.5000
Nd2 0.0000 0.5000 0.3296
Nd3 0.0000 0.5000 0.6704
Nd4 0.3109 0.6891 0.0000
Nd5 0.5000 0.0000 0.3296
Nd6 0.5000 0.0000 0.6704
Nd7 0.6891 0.3109 0.0000
Tl1 0.5000 0.5000 0.2217
Tl2 0.5000 0.5000 0.7783


Record 12
Theoretical PXRD pattern of Pm6Co2Cu for Cu Kα X-rays, from the PBE geometry in Alexandria.
Kinematic intensities with the Lorentz-polarization factor, no thermal factor.

Largest 10 diffraction maxima, in order of rising 2θ, 2θ = 10–90°:
| 2θ/deg | I/Imax |
| --- | --- |
| 25.91 | 23 |
| 28.38 | 24 |
| 28.80 | 21 |
| 29.66 | 31 |
| 31.81 | 86 |
| 34.18 | 100 |
| 34.55 | 46 |
| 34.94 | 22 |
| 37.89 | 22 |
| 59.27 | 27 |

Cell and atoms:
Cell: 8.4459 8.4459 8.4459 Å, 111.58 109.20 107.66°
Element x y z (fractional)
Pm1 0.0450 0.2356 0.8094
Pm2 0.1776 0.2777 0.4553
Pm3 0.1776 0.7223 0.8998
Pm4 0.3254 0.0111 0.6857
Pm5 0.3254 0.6398 0.3143
Pm6 0.4262 0.2356 0.1906
Pm7 0.5738 0.7644 0.8094
Pm8 0.6746 0.3602 0.6857
Pm9 0.6746 0.9889 0.3143
Pm10 0.8224 0.2777 0.1002
Pm11 0.8224 0.7223 0.5447
Pm12 0.9550 0.7644 0.1906
Co1 0.1136 0.6136 0.5000
Co2 0.3346 0.0000 0.3346
Co3 0.6654 0.0000 0.6654
Co4 0.8864 0.3864 0.5000
Cu1 0.0000 0.0000 0.0000
Cu2 0.5000 0.5000 0.0000


Q: What is the formula in the tenth record?
A: Rb2SbSe3